Theoretical powder diffraction line list of Er2Zr8O19 for λ = 1.5418 Å (Cu Kα), from DFT lattice parameters and positions (PBE).
Peak positions follow from Bragg's law for the DFT cell and can differ from measured ones.

Structural model:
```
data_Er2Zr8O19
_chemical_formula_sum 'Er2 Zr8 O19'
_space_group_name_H-M_alt 'P 1'
_space_group_IT_number 1
_cell_length_a 3.6623
_cell_length_b 3.6623
_cell_length_c 26.1938
_cell_angle_alpha 90.00
_cell_angle_beta 90.00
_cell_angle_gamma 90.00
loop_
_space_group_symop_operation_xyz
'x,y,z'
loop_
_atom_site_label
_atom_site_type_symbol
_atom_site_fract_x
_atom_site_fract_y
_atom_site_fract_z
Er1 Er 0.0000 0.5000 0.0570
Er2 Er 0.5000 0.0000 0.9430
Zr1 Zr 0.0000 0.5000 0.2528
Zr2 Zr 0.0000 0.5000 0.4510
Zr3 Zr 0.0000 0.5000 0.6478
Zr4 Zr 0.0000 0.5000 0.8470
Zr5 Zr 0.5000 0.0000 0.1530
Zr6 Zr 0.5000 0.0000 0.3522
Zr7 Zr 0.5000 0.0000 0.5490
Zr8 Zr 0.5000 0.0000 0.7472
O1 O 0.0000 0.0000 0.0000
O2 O 0.0000 0.0000 0.1113
O3 O 0.0000 0.0000 0.2103
O4 O 0.0000 0.0000 0.3096
O5 O 0.0000 0.0000 0.4061
O6 O 0.0000 0.0000 0.5000
O7 O 0.0000 0.0000 0.5939
O8 O 0.0000 0.0000 0.6904
O9 O 0.0000 0.0000 0.7897
O10 O 0.0000 0.0000 0.8887
O11 O 0.5000 0.5000 0.0952
O12 O 0.5000 0.5000 0.1945
O13 O 0.5000 0.5000 0.2963
O14 O 0.5000 0.5000 0.3966
O15 O 0.5000 0.5000 0.5000
O16 O 0.5000 0.5000 0.6034
O17 O 0.5000 0.5000 0.7037
O18 O 0.5000 0.5000 0.8055
O19 O 0.5000 0.5000 0.9048
```

The 8 most intense peaks (10° ≤ 2θ ≤ 80°), in order of rising 2θ:
| 2θ (°) | I_rel |
| --- | --- |
| 29.8 | 100 |
| 34.2 | 9 |
| 34.6 | 17 |
| 49.5 | 35 |
| 49.8 | 19 |
| 58.6 | 12 |
| 59.1 | 28 |
| 61.8 | 7 |



Theoretical powder diffraction line list of YMg14BO16 for λ = 1.5418 Å (Cu Kα), from DFT lattice parameters and positions (PBE).
Peak positions follow from Bragg's law for the DFT cell and can differ from measured ones.

Structural model:
```
data_YMg14BO16
_chemical_formula_sum 'Y1 Mg14 B1 O16'
_space_group_name_H-M_alt 'P 1'
_space_group_IT_number 1
_cell_length_a 8.6838
_cell_length_b 8.6838
_cell_length_c 4.3246
_cell_angle_alpha 90.00
_cell_angle_beta 90.00
_cell_angle_gamma 90.00
loop_
_space_group_symop_operation_xyz
'x,y,z'
loop_
_atom_site_label
_atom_site_type_symbol
_atom_site_fract_x
_atom_site_fract_y
_atom_site_fract_z
Y1 Y 0.0000 0.0000 0.0000
Mg1 Mg 0.0000 0.2651 0.5000
Mg2 Mg 0.0000 0.5000 0.0000
Mg3 Mg 0.0000 0.7349 0.5000
Mg4 Mg 0.2566 0.5000 0.5000
Mg5 Mg 0.2621 0.2621 0.0000
Mg6 Mg 0.2621 0.7379 0.0000
Mg7 Mg 0.2651 0.0000 0.5000
Mg8 Mg 0.5000 0.0000 0.0000
Mg9 Mg 0.5000 0.2566 0.5000
Mg10 Mg 0.5000 0.7434 0.5000
Mg11 Mg 0.7349 0.0000 0.5000
Mg12 Mg 0.7379 0.2621 0.0000
Mg13 Mg 0.7379 0.7379 0.0000
Mg14 Mg 0.7434 0.5000 0.5000
B1 B 0.5000 0.5000 0.0000
O1 O 0.0000 0.0000 0.5000
O2 O 0.0000 0.2575 0.0000
O3 O 0.0000 0.5000 0.5000
O4 O 0.0000 0.7425 0.0000
O5 O 0.2338 0.5000 0.0000
O6 O 0.2494 0.2494 0.5000
O7 O 0.2494 0.7506 0.5000
O8 O 0.2575 0.0000 0.0000
O9 O 0.5000 0.0000 0.5000
O10 O 0.5000 0.2338 0.0000
O11 O 0.5000 0.5000 0.5000
O12 O 0.5000 0.7662 0.0000
O13 O 0.7425 0.0000 0.0000
O14 O 0.7506 0.2494 0.5000
O15 O 0.7506 0.7506 0.5000
O16 O 0.7662 0.5000 0.0000
```

The 8 most intense peaks (10° ≤ 2θ ≤ 80°), in order of rising 2θ:
| 2θ (°) | I_rel |
| --- | --- |
| 10.2 | 28 |
| 22.9 | 28 |
| 30.9 | 25 |
| 41.6 | 100 |
| 41.8 | 51 |
| 60.3 | 28 |
| 60.4 | 57 |
| 76.0 | 25 |



Theoretical powder diffraction line list of Cu6PbO8 for λ = 1.5418 Å (Cu Kα), from DFT lattice parameters and positions (PBE).
Peak positions follow from Bragg's law for the DFT cell and can differ from measured ones.

Structural model:
```
data_Cu6PbO8
_chemical_formula_sum 'Cu6 Pb1 O8'
_space_group_name_H-M_alt 'P 1'
_space_group_IT_number 1
_cell_length_a 6.1014
_cell_length_b 6.1014
_cell_length_c 6.1014
_cell_angle_alpha 60.00
_cell_angle_beta 60.00
_cell_angle_gamma 60.00
loop_
_space_group_symop_operation_xyz
'x,y,z'
loop_
_atom_site_label
_atom_site_type_symbol
_atom_site_fract_x
_atom_site_fract_y
_atom_site_fract_z
Cu1 Cu 0.0000 0.0000 0.5000
Cu2 Cu 0.0000 0.5000 0.0000
Cu3 Cu 0.0000 0.5000 0.5000
Cu4 Cu 0.5000 0.0000 0.0000
Cu5 Cu 0.5000 0.0000 0.5000
Cu6 Cu 0.5000 0.5000 0.0000
Pb1 Pb 0.0000 0.0000 0.0000
O1 O 0.2500 0.2500 0.2500
O2 O 0.2515 0.2515 0.7485
O3 O 0.2515 0.7485 0.2515
O4 O 0.2515 0.7485 0.7485
O5 O 0.7485 0.2515 0.2515
O6 O 0.7485 0.2515 0.7485
O7 O 0.7485 0.7485 0.2515
O8 O 0.7500 0.7500 0.7500
```

The 8 most intense peaks (10° ≤ 2θ ≤ 80°), in order of rising 2θ:
| 2θ (°) | I_rel |
| --- | --- |
| 17.8 | 84 |
| 34.5 | 52 |
| 36.1 | 87 |
| 41.9 | 100 |
| 45.8 | 24 |
| 60.7 | 61 |
| 72.7 | 36 |
| 76.5 | 19 |



Theoretical powder diffraction line list of Cs2PdI2Cl4 for λ = 1.5418 Å (Cu Kα), from DFT lattice parameters and positions (PBE).
Peak positions follow from Bragg's law for the DFT cell and can differ from measured ones.

Structural model:
```
data_Cs2PdI2Cl4
_chemical_formula_sum 'Cs2 Pd1 I2 Cl4'
_space_group_name_H-M_alt 'P 1'
_space_group_IT_number 1
_cell_length_a 7.4623
_cell_length_b 7.4623
_cell_length_c 7.4623
_cell_angle_alpha 111.55
_cell_angle_beta 111.55
_cell_angle_gamma 105.38
loop_
_space_group_symop_operation_xyz
'x,y,z'
loop_
_atom_site_label
_atom_site_type_symbol
_atom_site_fract_x
_atom_site_fract_y
_atom_site_fract_z
Cs1 Cs 0.2500 0.7500 0.5000
Cs2 Cs 0.7500 0.2500 0.5000
Pd1 Pd 0.0000 0.0000 0.0000
I1 I 0.3422 0.3422 0.0000
I2 I 0.6578 0.6578 0.0000
Cl1 Cl 0.1967 0.1967 0.3934
Cl2 Cl 0.1967 0.8033 0.0000
Cl3 Cl 0.8033 0.1967 0.0000
Cl4 Cl 0.8033 0.8033 0.6066
```

The 8 most intense peaks (10° ≤ 2θ ≤ 80°), in order of rising 2θ:
| 2θ (°) | I_rel |
| --- | --- |
| 21.2 | 100 |
| 24.7 | 44 |
| 29.0 | 49 |
| 30.1 | 83 |
| 31.5 | 48 |
| 38.3 | 35 |
| 48.5 | 30 |
| 49.5 | 32 |



Theoretical powder diffraction line list of BaBiO3 for λ = 1.5418 Å (Cu Kα), from DFT lattice parameters and positions (PBE).
Peak positions follow from Bragg's law for the DFT cell and can differ from measured ones.

Structural model:
```
data_BaBiO3
_chemical_formula_sum 'Ba4 Bi4 O12'
_space_group_name_H-M_alt 'P 1'
_space_group_IT_number 1
_cell_length_a 6.2800
_cell_length_b 6.2440
_cell_length_c 10.7945
_cell_angle_alpha 90.00
_cell_angle_beta 125.31
_cell_angle_gamma 90.00
loop_
_space_group_symop_operation_xyz
'x,y,z'
loop_
_atom_site_label
_atom_site_type_symbol
_atom_site_fract_x
_atom_site_fract_y
_atom_site_fract_z
Ba1 Ba 0.2427 0.0134 0.2490
Ba2 Ba 0.2427 0.4866 0.7490
Ba3 Ba 0.7573 0.5134 0.2510
Ba4 Ba 0.7573 0.9866 0.7510
Bi1 Bi 0.0000 0.0000 0.5000
Bi2 Bi 0.0000 0.5000 0.0000
Bi3 Bi 0.5000 0.0000 0.0000
Bi4 Bi 0.5000 0.5000 0.5000
O1 O 0.1856 0.2399 0.9615
O2 O 0.1856 0.2601 0.4615
O3 O 0.2182 0.7275 0.9616
O4 O 0.2182 0.7725 0.4616
O5 O 0.3114 0.0082 0.7414
O6 O 0.3114 0.4918 0.2414
O7 O 0.6886 0.5082 0.7586
O8 O 0.6886 0.9918 0.2586
O9 O 0.7818 0.2275 0.5384
O10 O 0.7818 0.2725 0.0384
O11 O 0.8144 0.7399 0.5385
O12 O 0.8144 0.7601 0.0385
```

The 8 most intense peaks (10° ≤ 2θ ≤ 80°), in order of rising 2θ:
| 2θ (°) | I_rel |
| --- | --- |
| 28.4 | 19 |
| 28.6 | 100 |
| 40.8 | 21 |
| 41.0 | 10 |
| 50.3 | 9 |
| 50.6 | 22 |
| 50.7 | 22 |
| 59.3 | 10 |



Theoretical powder diffraction line list of CdTe for λ = 1.5418 Å (Cu Kα), from DFT lattice parameters and positions (PBE).
Peak positions follow from Bragg's law for the DFT cell and can differ from measured ones.

Structural model:
```
data_CdTe
_chemical_formula_sum 'Cd2 Te2'
_space_group_name_H-M_alt 'P 1'
_space_group_IT_number 1
_cell_length_a 4.6843
_cell_length_b 4.6843
_cell_length_c 7.6737
_cell_angle_alpha 90.00
_cell_angle_beta 90.00
_cell_angle_gamma 120.00
loop_
_space_group_symop_operation_xyz
'x,y,z'
loop_
_atom_site_label
_atom_site_type_symbol
_atom_site_fract_x
_atom_site_fract_y
_atom_site_fract_z
Cd1 Cd 0.3333 0.6667 0.0000
Cd2 Cd 0.6667 0.3333 0.5000
Te1 Te 0.3333 0.6667 0.6252
Te2 Te 0.6667 0.3333 0.1252
```

The 8 most intense peaks (10° ≤ 2θ ≤ 80°), in order of rising 2θ:
| 2θ (°) | I_rel |
| --- | --- |
| 21.9 | 100 |
| 23.2 | 58 |
| 24.8 | 65 |
| 32.1 | 38 |
| 38.4 | 92 |
| 41.7 | 94 |
| 45.4 | 57 |
| 71.8 | 36 |



Theoretical powder diffraction line list of MgTl2Pb16Br18O8 for λ = 1.5418 Å (Cu Kα), from DFT lattice parameters and positions (PBE).
Peak positions follow from Bragg's law for the DFT cell and can differ from measured ones.

Structural model:
```
data_MgTl2Pb16Br18O8
_chemical_formula_sum 'Mg1 Tl2 Pb16 Br18 O8'
_space_group_name_H-M_alt 'P 1'
_space_group_IT_number 1
_cell_length_a 12.7283
_cell_length_b 8.5803
_cell_length_c 12.7362
_cell_angle_alpha 90.00
_cell_angle_beta 91.27
_cell_angle_gamma 90.00
loop_
_space_group_symop_operation_xyz
'x,y,z'
loop_
_atom_site_label
_atom_site_type_symbol
_atom_site_fract_x
_atom_site_fract_y
_atom_site_fract_z
Mg1 Mg 0.0000 0.0000 0.0000
Tl1 Tl 0.0000 0.1109 0.5000
Tl2 Tl 0.5000 0.4253 0.0000
Pb1 Pb 0.0557 0.1141 0.2198
Pb2 Pb 0.0890 0.5639 0.2173
Pb3 Pb 0.1332 0.3492 0.9460
Pb4 Pb 0.2404 0.9139 0.8997
Pb5 Pb 0.2769 0.5685 0.5851
Pb6 Pb 0.3671 0.1016 0.5567
Pb7 Pb 0.4080 0.9242 0.2717
Pb8 Pb 0.4405 0.3871 0.3651
Pb9 Pb 0.5595 0.3871 0.6349
Pb10 Pb 0.5920 0.9242 0.7283
Pb11 Pb 0.6329 0.1016 0.4433
Pb12 Pb 0.7231 0.5685 0.4149
Pb13 Pb 0.7596 0.9139 0.1003
Pb14 Pb 0.8668 0.3492 0.0540
Pb15 Pb 0.9110 0.5639 0.7827
Pb16 Pb 0.9443 0.1141 0.7802
Br1 Br 0.0000 0.7066 0.0000
Br2 Br 0.1210 0.8407 0.7044
Br3 Br 0.1271 0.3594 0.6822
Br4 Br 0.1833 0.3679 0.3881
Br5 Br 0.2075 0.8718 0.3809
Br6 Br 0.2896 0.6227 0.1121
Br7 Br 0.2967 0.1362 0.1270
Br8 Br 0.3934 0.1335 0.8218
Br9 Br 0.3956 0.6274 0.7879
Br10 Br 0.5000 0.7479 0.5000
Br11 Br 0.6044 0.6274 0.2121
Br12 Br 0.6066 0.1335 0.1782
Br13 Br 0.7033 0.1362 0.8730
Br14 Br 0.7104 0.6227 0.8879
Br15 Br 0.7925 0.8718 0.6191
Br16 Br 0.8167 0.3679 0.6119
Br17 Br 0.8729 0.3594 0.3178
Br18 Br 0.8790 0.8407 0.2956
O1 O 0.0475 0.3504 0.1126
O2 O 0.1065 0.0907 0.9139
O3 O 0.3951 0.3700 0.5477
O4 O 0.4498 0.1169 0.3933
O5 O 0.5502 0.1169 0.6067
O6 O 0.6049 0.3700 0.4523
O7 O 0.8935 0.0907 0.0861
O8 O 0.9525 0.3504 0.8874
```

The 8 most intense peaks (10° ≤ 2θ ≤ 80°), in order of rising 2θ:
| 2θ (°) | I_rel |
| --- | --- |
| 18.6 | 27 |
| 21.9 | 26 |
| 25.9 | 59 |
| 26.1 | 86 |
| 29.6 | 100 |
| 31.1 | 39 |
| 31.7 | 69 |
| 35.7 | 34 |



Theoretical powder diffraction line list of NaBeSb for λ = 1.5418 Å (Cu Kα), from DFT lattice parameters and positions (PBE).
Peak positions follow from Bragg's law for the DFT cell and can differ from measured ones.

Structural model:
```
data_NaBeSb
_chemical_formula_sum 'Na2 Be2 Sb2'
_space_group_name_H-M_alt 'P 1'
_space_group_IT_number 1
_cell_length_a 4.1710
_cell_length_b 4.1710
_cell_length_c 9.3756
_cell_angle_alpha 90.00
_cell_angle_beta 90.00
_cell_angle_gamma 120.00
loop_
_space_group_symop_operation_xyz
'x,y,z'
loop_
_atom_site_label
_atom_site_type_symbol
_atom_site_fract_x
_atom_site_fract_y
_atom_site_fract_z
Na1 Na 0.0000 0.0000 0.0000
Na2 Na 0.0000 0.0000 0.5000
Be1 Be 0.3333 0.6667 0.2500
Be2 Be 0.6667 0.3333 0.7500
Sb1 Sb 0.3333 0.6667 0.7500
Sb2 Sb 0.6667 0.3333 0.2500
```

The 8 most intense peaks (10° ≤ 2θ ≤ 80°), in order of rising 2θ:
| 2θ (°) | I_rel |
| --- | --- |
| 18.9 | 41 |
| 26.4 | 100 |
| 31.3 | 52 |
| 38.1 | 38 |
| 43.4 | 30 |
| 47.7 | 21 |
| 51.5 | 16 |
| 59.3 | 23 |